Starting from a PBE-relaxed structure, the X-ray powder pattern of Zr4Sc2Si3C3 was computed for Cu Ka.
Kinematic intensities with the Lorentz-polarization factor, no thermal factor.

Peak list (10 most intense, 2θ = 15–90°, by angle)
30.99 deg, I = 21
31.69 deg, I = 18
36.85 deg, I = 100
36.91 deg, I = 51
39.67 deg, I = 23
40.96 deg, I = 13
51.17 deg, I = 14
54.99 deg, I = 21
69.92 deg, I = 14
70.12 deg, I = 18

Structure:
Unit cell a=5.7716 b=5.7716 c=14.0329 alpha=101.87 beta=101.87 gamma=60.22
Fractional coordinates of all 24 atoms:
Zr (0.0346, 0.1990, 0.0931)
Zr (0.1422, 0.3047, 0.4069)
Zr (0.1990, 0.0346, 0.5931)
Zr (0.3047, 0.1422, 0.9069)
Zr (0.6953, 0.8578, 0.0931)
Zr (0.8010, 0.9654, 0.4069)
Zr (0.8578, 0.6953, 0.5931)
Zr (0.9654, 0.8010, 0.9069)
Sc (0.3611, 0.5371, 0.0928)
Sc (0.4629, 0.6389, 0.4072)
Sc (0.5371, 0.3611, 0.5928)
Sc (0.6389, 0.4629, 0.9072)
Si (0.0165, 0.9835, 0.2500)
Si (0.2558, 0.4723, 0.7496)
Si (0.4723, 0.2558, 0.2496)
Si (0.5277, 0.7442, 0.7504)
Si (0.7442, 0.5277, 0.2504)
Si (0.9835, 0.0165, 0.7500)
C (0.0000, 0.5000, 0.0000)
C (0.1606, 0.6702, 0.4994)
C (0.3298, 0.8394, 0.0006)
C (0.5000, 0.0000, 0.5000)
C (0.6702, 0.1606, 0.9994)
C (0.8394, 0.3298, 0.5006)